Entry 1:
# V4P2O13
Computed X-ray powder pattern, a wavelength of 1.5418 Å. Input: a structure optimized by DFT (PBE+U).
Intensities are scaled so that the largest is 100.

Most intense lines, 2θ = 10–80°, low angle first:
d [Å], 2theta, I (rel.)
3.770, 23.60, 18
3.540, 25.16, 32
3.301, 27.01, 100
3.203, 27.85, 100
3.047, 29.31, 71
2.885, 31.00, 51
2.043, 44.34, 28
2.004, 45.25, 27
1.992, 45.53, 35
1.431, 65.21, 25

Structure:
Cell lengths 4.9697, 5.0028, 8.7875 Å; angles 88.62, 79.99, 80.61 degrees
Space group P1 (No. 1)
Unique sites:
V: 0.0000 0.0000 0.0000
V: 0.1542 0.2847 0.3566
V: 0.3185 0.4944 0.7461
V: 0.4946 0.7153 0.4176
P: 0.5560 0.5488 0.0620
P: 0.8153 0.9707 0.6469
O: 0.0211 0.9805 0.4921
O: 0.0986 0.1031 0.1596
O: 0.1637 0.2560 0.8479
O: 0.2837 0.4631 0.5276
O: 0.3659 0.6860 0.9462
O: 0.3733 0.5573 0.2300
O: 0.4981 0.0332 0.3369
O: 0.5799 0.8044 0.6247
O: 0.6504 0.2506 0.0165
O: 0.6874 0.2577 0.7013
O: 0.7929 0.7031 0.0695
O: 0.8360 0.4953 0.3718
O: 0.9815 0.8187 0.7689

---

Entry 2:
# VZnPO5
Computed X-ray powder pattern, a wavelength of 1.5418 Å. Input: a structure optimized by DFT (PBE+U).
Intensities are scaled so that the largest is 100.

Most intense lines, 2θ = 10–80°, low angle first:
d [Å], 2theta, I (rel.)
4.927, 18.00, 17
3.297, 27.05, 93
3.222, 27.69, 100
2.529, 35.49, 30
2.518, 35.66, 55
2.286, 39.42, 15
1.800, 50.71, 18
1.713, 53.50, 15
1.689, 54.30, 26
1.541, 60.04, 13

Structure:
Cell lengths 7.2378, 8.2051, 7.2087 Å; angles 90.00, 117.08, 90.00 degrees
Space group C2/c (No. 15)
Unique sites:
V: 0.0000 0.0000 0.0000
Zn: 0.0000 0.3194 0.2500
P: 0.0000 0.3496 0.7500
O: 0.0000 0.0895 0.2500
O: 0.0460 0.2456 0.5969
O: 0.1800 0.4774 0.8679

---

Entry 3:
# MnBPbO4
Computed X-ray powder pattern, a wavelength of 1.5418 Å. Input: a structure optimized by DFT (PBE+U).
Intensities are scaled so that the largest is 100.

Most intense lines, 2θ = 10–80°, low angle first:
d [Å], 2theta, I (rel.)
4.994, 17.76, 93
3.407, 26.15, 38
3.151, 28.32, 100
3.038, 29.40, 18
2.814, 31.79, 65
2.685, 33.37, 50
2.645, 33.88, 52
2.015, 44.99, 18
1.973, 46.00, 26
1.776, 51.45, 34

Structure:
Cell lengths 6.8144, 6.0765, 8.7640 Å; angles 90.00, 90.00, 90.00 degrees
Space group Pnma (No. 62)
Unique sites:
Mn: 0.0000 0.0000 0.0000
B: 0.2025 0.2500 0.2630
Pb: 0.0362 0.7500 0.3506
O: 0.1096 0.2500 0.8978
O: 0.1614 0.0500 0.1891
O: 0.2207 0.7500 0.9073

---

Entry 4:
# Li2Mn2FeO6
Computed X-ray powder pattern, a wavelength of 1.5418 Å. Input: a structure optimized by DFT (PBE+U).
Intensities are scaled so that the largest is 100.

Most intense lines, 2θ = 10–80°, low angle first:
d [Å], 2theta, I (rel.)
5.129, 17.29, 100
2.613, 34.32, 8
2.491, 36.06, 27
2.328, 38.67, 17
2.296, 39.24, 8
2.053, 44.11, 32
1.830, 49.82, 13
1.603, 57.50, 18
1.484, 62.60, 16
1.273, 74.56, 6

Structure:
Cell lengths 8.8443, 5.2260, 10.2570 Å; angles 90.00, 90.00, 90.00 degrees
Space group Cmce (No. 64)
Unique sites:
Li: 0.2500 0.0979 0.2500
Mn: 0.1625 0.0000 0.0000
Fe: 0.0000 0.0000 0.5000
O: 0.0000 0.1631 0.9039
O: 0.1769 0.1568 0.6061